# 1
Calculated X-ray diffraction stick pattern of SrPrTiO4 for λ = 1.5418 Å (Cu Kα), from a cell relaxed with PBE.
Kinematic intensities with the Lorentz-polarization factor, no thermal factor.

Most intense lines, 2θ from 10° to 90°, by intensity:
d (Å)  Position (°2θ)  I/Imax  h k l
2.870  31.16  100  1 0 3
2.774  32.27  70  1 1 0
1.961  46.29  38  2 0 0
1.619  56.85  37  2 1 3
2.084  43.42  34  1 1 4
3.746  23.75  30  1 0 1

Atomic structure:
abc: 3.923 3.923 12.633
angles: 90.00 90.00 90.00
Space group I4mm (No. 107)
Unique sites:
Sr: 0.000 0.000 0.000 (multiplicity 2)
Pr: 0.000 0.000 0.288 (multiplicity 2)
Ti: 0.000 0.000 0.643 (multiplicity 2)
O: 0.000 0.000 0.472 (multiplicity 2)
O: 0.000 0.000 0.809 (multiplicity 2)
O: 0.000 0.500 0.149 (multiplicity 4)

=====

# 2
Calculated X-ray diffraction stick pattern of PaNiS3 for λ = 1.5418 Å (Cu Kα), from a cell relaxed with PBE.
Kinematic intensities with the Lorentz-polarization factor, no thermal factor.

Most intense lines, 2θ from 10° to 90°, by intensity:
d (Å)  Position (°2θ)  I/Imax  h k l
2.967  30.12  100  1 1 1
3.405  26.17  75  1 0 -2
4.468  19.87  72  1 0 -1
2.412  37.28  68  0 1 3
2.993  29.86  61  0 1 2
2.563  35.01  45  2 0 0

Atomic structure:
abc: 5.126 3.969 9.111
angles: 90.00 90.02 90.00
Space group P2/m (No. 10)
Unique sites:
Pa: 0.250 0.000 0.184 (multiplicity 2)
Ni: 0.251 0.500 0.633 (multiplicity 2)
S: 0.000 0.500 0.000 (multiplicity 1)
S: 0.250 0.000 0.732 (multiplicity 2)
S: 0.250 0.500 0.384 (multiplicity 2)
S: 0.500 0.500 0.000 (multiplicity 1)

=====

# 3
Calculated X-ray diffraction stick pattern of Zn3Cu2Ni3 for λ = 1.5418 Å (Cu Kα), from a cell relaxed with PBE.
Kinematic intensities with the Lorentz-polarization factor, no thermal factor.

Most intense lines, 2θ from 10° to 90°, by intensity:
d (Å)  Position (°2θ)  I/Imax  h k l
1.984  45.73  100  1 4 1
2.104  43.00  38  2 0 0
1.951  46.56  38  1 0 2
2.250  40.08  18  0 4 1
1.190  80.75  17  3 4 1
2.201  41.00  16  0 0 2

Atomic structure:
abc: 4.207 10.468 4.403
angles: 90.00 90.00 90.00
Space group Pmmn (No. 59, origin choice 2)
Unique sites:
Zn: 0.250 0.006 0.184 (multiplicity 4)
Zn: 0.250 0.750 0.164 (multiplicity 2)
Cu: 0.250 0.126 0.675 (multiplicity 4)
Ni: 0.250 0.250 0.183 (multiplicity 2)
Ni: 0.250 0.628 0.673 (multiplicity 4)

=====

# 4
Calculated X-ray diffraction stick pattern of Dy3SbIr for λ = 1.5418 Å (Cu Kα), from a cell relaxed with PBE.
Kinematic intensities with the Lorentz-polarization factor, no thermal factor.

Most intense lines, 2θ from 10° to 90°, by intensity:
d (Å)  Position (°2θ)  I/Imax  h k l
2.570  34.91  100  3 1 1
2.510  35.78  96  3 1 -3
2.468  36.40  50  0 2 0
2.488  36.11  48  6 0 -2
1.752  52.21  34  6 2 -2
7.369  12.01  25  0 0 1

Atomic structure:
abc: 14.934 4.936 8.757
angles: 90.00 122.69 90.00
Space group C2/m (No. 12)
Unique sites:
Dy: 0.075 0.000 0.222 (multiplicity 4)
Dy: 0.098 0.500 0.791 (multiplicity 4)
Dy: 0.250 0.000 0.765 (multiplicity 4)
Sb: 0.148 0.500 0.487 (multiplicity 4)
Ir: 0.163 0.000 0.999 (multiplicity 4)

=====

# 5
Calculated X-ray diffraction stick pattern of BaLi4Tl2Sn for λ = 1.5418 Å (Cu Kα), from a cell relaxed with PBE.
Kinematic intensities with the Lorentz-polarization factor, no thermal factor.

Most intense lines, 2θ from 10° to 90°, by intensity:
d (Å)  Position (°2θ)  I/Imax  h k l
3.655  24.35  100  1 0 4
2.785  32.14  52  0 1 8
2.421  37.13  38  1 1 0
1.734  52.80  24  1 1 12
2.019  44.90  20  0 2 4
1.551  59.63  17  2 1 4

Atomic structure:
abc: 4.8430 4.8430 29.8016
angles: 90.00 90.00 120.00
Space group R-3m (No. 166, hexagonal axes)
Unique sites:
Ba: 0.0000 0.0000 0.0000 (multiplicity 3)
Li: 0.0000 0.0000 0.1363 (multiplicity 6)
Li: 0.0000 0.0000 0.4107 (multiplicity 6)
Tl: 0.0000 0.0000 0.2447 (multiplicity 6)
Sn: 0.0000 0.0000 0.5000 (multiplicity 3)

=====

# 6
Calculated X-ray diffraction stick pattern of In3GaN4 for λ = 1.5418 Å (Cu Kα), from a cell relaxed with PBE.
Kinematic intensities with the Lorentz-polarization factor, no thermal factor.

Most intense lines, 2θ from 10° to 90°, by intensity:
d (Å)  Position (°2θ)  I/Imax  h k l
2.671  33.56  100  1 0 2
3.025  29.53  37  1 0 0
2.844  31.46  31  0 0 4
1.746  52.39  27  1 1 0
1.606  57.35  27  1 0 6
1.488  62.40  25  1 1 4

Atomic structure:
abc: 3.4926 3.4926 11.3762
angles: 90.00 90.00 120.00
Space group P3m1 (No. 156)
Unique sites:
In: 0.0000 0.0000 0.0000 (multiplicity 1)
In: 0.0000 0.0000 0.4810 (multiplicity 1)
In: 0.6667 0.3333 0.7406 (multiplicity 1)
Ga: 0.6667 0.3333 0.2376 (multiplicity 1)
N: 0.0000 0.0000 0.2873 (multiplicity 1)
N: 0.0000 0.0000 0.8082 (multiplicity 1)
N: 0.6667 0.3333 0.0661 (multiplicity 1)
N: 0.6667 0.3333 0.5489 (multiplicity 1)

=====

# 7
Calculated X-ray diffraction stick pattern of Pm2Hg3Ge2 for λ = 1.5418 Å (Cu Kα), from a cell relaxed with PBE.
Kinematic intensities with the Lorentz-polarization factor, no thermal factor.

Most intense lines, 2θ from 10° to 90°, by intensity:
d (Å)  Position (°2θ)  I/Imax  h k l
2.771  32.31  100  1 1 -2
2.489  36.09  51  3 1 1
2.760  32.44  49  3 1 0
2.214  40.75  30  0 2 0
2.600  34.49  23  4 0 -1
1.590  57.99  21  4 2 -2

Atomic structure:
abc: 10.684 4.429 7.251
angles: 90.00 97.81 90.00
Space group C2/m (No. 12)
Unique sites:
Pm: 0.120 0.000 0.324 (multiplicity 4)
Hg: 0.000 0.500 0.000 (multiplicity 2)
Hg: 0.195 0.000 0.860 (multiplicity 4)
Ge: 0.096 0.500 0.614 (multiplicity 4)

=====

# 8
Calculated X-ray diffraction stick pattern of NaLi2Tl2 for λ = 1.5418 Å (Cu Kα), from a cell relaxed with PBE.
Kinematic intensities with the Lorentz-polarization factor, no thermal factor.

Most intense lines, 2θ from 10° to 90°, by intensity:
d (Å)  Position (°2θ)  I/Imax  h k l
3.676  24.21  100  2 1 0
2.488  36.10  80  2 1 1
3.381  26.36  31  0 0 1
2.599  34.51  27  3 1 0
1.681  54.60  22  3 3 1
1.717  53.35  21  4 1 1

Atomic structure:
abc: 8.219 8.219 3.381
angles: 90.00 90.00 90.00
Space group P4/mbm (No. 127)
Unique sites:
Na: 0.000 0.000 0.000 (multiplicity 2)
Li: 0.133 0.367 0.000 (multiplicity 4)
Tl: 0.162 0.662 0.500 (multiplicity 4)

=====

# 9
Calculated X-ray diffraction stick pattern of Pm3NdHoEr for λ = 1.5418 Å (Cu Kα), from a cell relaxed with PBE.
Kinematic intensities with the Lorentz-polarization factor, no thermal factor.

Most intense lines, 2θ from 10° to 90°, by intensity:
d (Å)  Position (°2θ)  I/Imax  h k l
2.948  30.32  100  1 1 2
2.557  35.10  34  0 2 0
1.807  50.52  24  1 2 -4
2.546  35.25  17  3 0 0
1.543  59.97  14  1 3 2
1.540  60.09  14  0 1 6

Atomic structure:
abc: 8.057 5.120 10.214
angles: 90.00 108.56 90.00
Space group P2_1/m (No. 11)
Unique sites:
Pm: 0.170 0.250 0.042 (multiplicity 2)
Pm: 0.170 0.250 0.543 (multiplicity 2)
Pm: 0.170 0.750 0.793 (multiplicity 2)
Nd: 0.169 0.750 0.292 (multiplicity 2)
Ho: 0.500 0.250 0.375 (multiplicity 2)
Er: 0.500 0.250 0.875 (multiplicity 2)

=====

# 10
Calculated X-ray diffraction stick pattern of BaIrPd2 for λ = 1.5418 Å (Cu Kα), from a cell relaxed with PBE.
Kinematic intensities with the Lorentz-polarization factor, no thermal factor.

Most intense lines, 2θ from 10° to 90°, by intensity:
d (Å)  Position (°2θ)  I/Imax  h k l
2.268  39.73  100  0 2 0
2.789  32.10  73  4 0 -2
2.373  37.92  50  1 1 2
5.577  15.89  45  2 0 -1
3.254  27.41  38  1 1 1
1.761  51.94  37  4 2 -2

Atomic structure:
abc: 11.890 4.540 7.455
angles: 90.00 118.17 90.00
Space group Cm (No. 8)
Unique sites:
Ba: 0.000 0.000 0.000 (multiplicity 2)
Ba: 0.193 0.500 0.436 (multiplicity 2)
Ir: 0.092 0.000 0.692 (multiplicity 2)
Ir: 0.475 0.000 0.566 (multiplicity 2)
Pd: 0.195 0.500 0.918 (multiplicity 2)
Pd: 0.311 0.000 0.122 (multiplicity 2)
Pd: 0.329 0.000 0.746 (multiplicity 2)
Pd: 0.407 0.500 0.325 (multiplicity 2)

=====

# 11
Calculated X-ray diffraction stick pattern of HgS3 for λ = 1.5418 Å (Cu Kα), from a cell relaxed with PBE.
Kinematic intensities with the Lorentz-polarization factor, no thermal factor.

Most intense lines, 2θ from 10° to 90°, by intensity:
d (Å)  Position (°2θ)  I/Imax  h k l
2.953  30.26  100  1 1 -2
3.329  26.78  81  1 1 0
4.534  19.58  78  0 0 2
3.120  28.61  50  0 1 2
2.634  34.03  30  2 0 0
1.665  55.18  26  2 2 0

Atomic structure:
abc: 5.497 4.299 9.461
angles: 90.00 106.56 90.00
Space group P2_1/m (No. 11)
Unique sites:
Hg: 0.228 0.250 0.457 (multiplicity 2)
S: 0.140 0.750 0.136 (multiplicity 2)
S: 0.212 0.250 0.962 (multiplicity 2)
S: 0.302 0.750 0.607 (multiplicity 2)

=====

# 12
Calculated X-ray diffraction stick pattern of Sm2In9Ni3 for λ = 1.5418 Å (Cu Kα), from a cell relaxed with PBE.
Kinematic intensities with the Lorentz-polarization factor, no thermal factor.

Most intense lines, 2θ from 10° to 90°, by intensity:
d (Å)  Position (°2θ)  I/Imax  h k l
2.636  34.00  100  0 2 3
2.362  38.10  90  6 0 -2
2.632  34.06  43  3 1 2
1.411  66.26  23  9 1 0
2.667  33.60  16  4 2 -1
2.583  34.73  16  0 0 4

Atomic structure:
abc: 14.190 8.171 11.376
angles: 90.00 114.74 90.00
Space group C2/c (No. 15)
Unique sites:
Sm: 0.169 0.083 0.252 (multiplicity 8)
In: 0.000 0.359 0.250 (multiplicity 4)
In: 0.060 0.073 0.928 (multiplicity 8)
In: 0.107 0.412 0.058 (multiplicity 8)
In: 0.112 0.306 0.749 (multiplicity 8)
In: 0.230 0.412 0.427 (multiplicity 8)
Ni: 0.083 0.250 0.500 (multiplicity 8)
Ni: 0.250 0.250 0.000 (multiplicity 4)

=====

# 13
Calculated X-ray diffraction stick pattern of HfNp2MnS5 for λ = 1.5418 Å (Cu Kα), from a cell relaxed with PBE.
Kinematic intensities with the Lorentz-polarization factor, no thermal factor.

Most intense lines, 2θ from 10° to 90°, by intensity:
d (Å)  Position (°2θ)  I/Imax  h k l
2.617  34.26  100  1 1 3
3.477  25.62  86  0 2 3
2.221  40.62  45  1 5 2
3.992  22.27  41  0 4 0
3.559  25.02  35  1 1 0
3.011  29.67  33  1 3 0

Atomic structure:
abc: 3.651 15.970 11.585
angles: 90.00 90.00 90.00
Space group Cmc2_1 (No. 36)
Unique sites:
Hf: 0.000 0.178 0.000 (multiplicity 4)
Np: 0.000 0.109 0.325 (multiplicity 4)
Np: 0.000 0.127 0.676 (multiplicity 4)
Mn: 0.000 0.440 0.404 (multiplicity 4)
S: 0.000 0.016 0.000 (multiplicity 4)
S: 0.000 0.305 0.341 (multiplicity 4)
S: 0.000 0.308 0.660 (multiplicity 4)
S: 0.000 0.341 0.998 (multiplicity 4)
S: 0.000 0.499 0.231 (multiplicity 4)